Starting from a PBE-relaxed structure, the powder diffraction line list of Mo2WSe2S4 was calculated for Cu Kα (weighted mean of Kα1 and Kα2).
Lines closer than 0.1° are merged.

Structural model:
abc: 3.231 3.231 29.693
angles: 90.00 90.00 120.00
Positions (direct):
Mo  0.000  0.000  0.000
Mo  0.333  0.667  0.769
W  0.000  0.000  0.537
Se  0.000  0.000  0.711
Se  0.000  0.000  0.826
S  0.333  0.667  0.052
S  0.333  0.667  0.485
S  0.333  0.667  0.590
S  0.333  0.667  0.948

Largest 10 diffraction maxima, by angle, 2θ from 10° to 90°:
2θ (°), I (rel.)
11.9, 100
14.9, 18
32.0, 26
32.1, 11
34.3, 17
36.9, 38
38.5, 42
44.5, 18
46.8, 32
57.0, 18